Computed powder diffractogram of TcBr5N2 for CuKα, from a structure optimized by DFT (GGA-PBE).
No peak broadening, texture or thermal motion is included.

The 10 most intense peaks (2θ from 15° to 90°), sorted by position:
d = 5.795 Å, 2θ 15.3, intensity 521; d = 5.709 Å, 2θ 15.5, intensity 467; d = 5.363 Å, 2θ 16.5, intensity 1000; d = 4.134 Å, 2θ 21.5, intensity 779; d = 3.616 Å, 2θ 24.6, intensity 425; d = 3.205 Å, 2θ 27.8, intensity 619; d = 2.872 Å, 2θ 31.1, intensity 585; d = 2.844 Å, 2θ 31.5, intensity 527; d = 2.478 Å, 2θ 36.2, intensity 744; d = 2.163 Å, 2θ 41.8, intensity 422

```
data_TcBr5N2
_chemical_formula_sum 'Tc1 Br5 N2'
_cell_length_a 6.543
_cell_length_b 7.427
_cell_length_c 7.780
_cell_angle_alpha 112.55
_cell_angle_beta 108.30
_cell_angle_gamma 101.29
_symmetry_space_group_name_H-M 'P 1'
_symmetry_Int_Tables_number 1
loop_
_symmetry_equiv_pos_as_xyz
'x,y,z'
loop_
_atom_site_label
_atom_site_type_symbol
_atom_site_fract_x
_atom_site_fract_y
_atom_site_fract_z
Tc1 Tc 0.000 0.000 0.000
Br1 Br 0.245 0.302 0.997
Br2 Br 0.300 0.082 0.317
Br3 Br 0.714 0.154 0.999
Br4 Br 0.759 0.703 0.003
Br5 Br 0.992 0.771 0.683
N1 N 0.343 0.644 0.487
N2 N 0.846 0.163 0.517
```



Computed powder diffractogram of Hg2H2Br3 for CuKα, from a structure optimized by DFT (GGA-PBE).
No peak broadening, texture or thermal motion is included.

The 10 most intense peaks (2θ from 15° to 90°), sorted by position:
d = 5.454 Å, 2θ 16.3, intensity 185; d = 4.670 Å, 2θ 19.0, intensity 425; d = 3.033 Å, 2θ 29.4, intensity 271; d = 2.956 Å, 2θ 30.2, intensity 1000; d = 2.921 Å, 2θ 30.6, intensity 575; d = 2.457 Å, 2θ 36.6, intensity 251; d = 2.407 Å, 2θ 37.4, intensity 254; d = 2.148 Å, 2θ 42.1, intensity 192; d = 2.014 Å, 2θ 45.0, intensity 209; d = 1.818 Å, 2θ 50.2, intensity 219

```
data_Hg2H2Br3
_chemical_formula_sum 'Hg2 H2 Br3'
_cell_length_a 4.031
_cell_length_b 7.015
_cell_length_c 7.626
_cell_angle_alpha 81.01
_cell_angle_beta 74.83
_cell_angle_gamma 88.33
_symmetry_space_group_name_H-M 'P 1'
_symmetry_Int_Tables_number 1
loop_
_symmetry_equiv_pos_as_xyz
'x,y,z'
loop_
_atom_site_label
_atom_site_type_symbol
_atom_site_fract_x
_atom_site_fract_y
_atom_site_fract_z
Hg1 Hg 0.133 0.424 0.238
Hg2 Hg 0.867 0.576 0.762
H1 H 0.018 0.016 0.541
H2 H 0.982 0.984 0.459
Br1 Br 0.268 0.764 0.946
Br2 Br 0.500 0.500 0.500
Br3 Br 0.732 0.236 0.054
```



Computed powder diffractogram of Ho3Tm4Th for CuKα, from a structure optimized by DFT (GGA-PBE).
No peak broadening, texture or thermal motion is included.

The 10 most intense peaks (2θ from 15° to 90°), sorted by position:
d = 3.098 Å, 2θ 28.8, intensity 239; d = 2.806 Å, 2θ 31.9, intensity 244; d = 2.712 Å, 2θ 33.0, intensity 1000; d = 2.080 Å, 2θ 43.5, intensity 158; d = 1.787 Å, 2θ 51.1, intensity 131; d = 1.601 Å, 2θ 57.6, intensity 208; d = 1.508 Å, 2θ 61.5, intensity 227; d = 1.494 Å, 2θ 62.1, intensity 108; d = 1.146 Å, 2θ 84.6, intensity 94; d = 1.104 Å, 2θ 88.6, intensity 87

```
data_Ho3Tm4Th
_chemical_formula_sum 'Ho6 Tm8 Th2'
_cell_length_a 11.225
_cell_length_b 7.163
_cell_length_c 6.188
_cell_angle_alpha 90.00
_cell_angle_beta 90.00
_cell_angle_gamma 90.00
_symmetry_space_group_name_H-M 'P 1'
_symmetry_Int_Tables_number 1
loop_
_symmetry_equiv_pos_as_xyz
'x,y,z'
loop_
_atom_site_label
_atom_site_type_symbol
_atom_site_fract_x
_atom_site_fract_y
_atom_site_fract_z
Ho1 Ho 0.000 0.123 0.000
Ho2 Ho 0.249 0.124 0.333
Ho3 Ho 0.251 0.876 0.833
Ho4 Ho 0.500 0.877 0.500
Ho5 Ho 0.749 0.876 0.833
Ho6 Ho 0.751 0.124 0.333
Tm1 Tm 0.000 0.376 0.501
Tm2 Tm 0.000 0.627 0.002
Tm3 Tm 0.250 0.374 0.841
Tm4 Tm 0.250 0.626 0.341
Tm5 Tm 0.500 0.373 0.502
Tm6 Tm 0.500 0.624 0.001
Tm7 Tm 0.750 0.374 0.841
Tm8 Tm 0.750 0.626 0.341
Th1 Th 0.000 0.875 0.503
Th2 Th 0.500 0.125 0.003
```



Computed powder diffractogram of PmSbF for CuKα, from a structure optimized by DFT (GGA-PBE).
No peak broadening, texture or thermal motion is included.

The 10 most intense peaks (2θ from 15° to 90°), sorted by position:
d = 3.520 Å, 2θ 25.3, intensity 214; d = 2.853 Å, 2θ 31.4, intensity 1000; d = 2.435 Å, 2θ 36.9, intensity 165; d = 2.032 Å, 2θ 44.6, intensity 287; d = 2.003 Å, 2θ 45.3, intensity 93; d = 1.655 Å, 2θ 55.5, intensity 196; d = 1.560 Å, 2θ 59.2, intensity 242; d = 1.474 Å, 2θ 63.1, intensity 133; d = 1.283 Å, 2θ 73.8, intensity 167; d = 1.193 Å, 2θ 80.5, intensity 67

```
data_PmSbF
_chemical_formula_sum 'Pm1 Sb1 F1'
_cell_length_a 4.065
_cell_length_b 4.065
_cell_length_c 4.870
_cell_angle_alpha 90.00
_cell_angle_beta 90.00
_cell_angle_gamma 120.00
_symmetry_space_group_name_H-M 'P 1'
_symmetry_Int_Tables_number 1
loop_
_symmetry_equiv_pos_as_xyz
'x,y,z'
loop_
_atom_site_label
_atom_site_type_symbol
_atom_site_fract_x
_atom_site_fract_y
_atom_site_fract_z
Pm1 Pm 0.000 0.000 0.000
Sb1 Sb 0.667 0.333 0.500
F1 F 0.333 0.667 0.000
```



Computed powder diffractogram of HfZrBr2 for CuKα, from a structure optimized by DFT (GGA-PBE).
No peak broadening, texture or thermal motion is included.

The 10 most intense peaks (2θ from 15° to 90°), sorted by position:
d = 4.999 Å, 2θ 17.7, intensity 194; d = 2.975 Å, 2θ 30.0, intensity 270; d = 2.730 Å, 2θ 32.8, intensity 521; d = 2.703 Å, 2θ 33.1, intensity 1000; d = 2.490 Å, 2θ 36.1, intensity 174; d = 2.144 Å, 2θ 42.1, intensity 497; d = 2.117 Å, 2θ 42.7, intensity 230; d = 1.999 Å, 2θ 45.4, intensity 183; d = 1.755 Å, 2θ 52.1, intensity 417; d = 1.477 Å, 2θ 62.9, intensity 156

```
data_HfZrBr2
_chemical_formula_sum 'Hf1 Zr1 Br2'
_cell_length_a 3.511
_cell_length_b 3.511
_cell_length_c 10.168
_cell_angle_alpha 99.11
_cell_angle_beta 99.11
_cell_angle_gamma 60.01
_symmetry_space_group_name_H-M 'P 1'
_symmetry_Int_Tables_number 1
loop_
_symmetry_equiv_pos_as_xyz
'x,y,z'
loop_
_atom_site_label
_atom_site_type_symbol
_atom_site_fract_x
_atom_site_fract_y
_atom_site_fract_z
Hf1 Hf 0.000 0.000 0.000
Zr1 Zr 0.404 0.404 0.230
Br1 Br 0.609 0.609 0.810
Br2 Br 0.795 0.795 0.420
```



Computed powder diffractogram of RbY for CuKα, from a structure optimized by DFT (GGA-PBE).
No peak broadening, texture or thermal motion is included.

The 10 most intense peaks (2θ from 15° to 90°), sorted by position:
d = 4.779 Å, 2θ 18.6, intensity 269; d = 3.778 Å, 2θ 23.5, intensity 423; d = 3.730 Å, 2θ 23.9, intensity 304; d = 3.562 Å, 2θ 25.0, intensity 242; d = 3.379 Å, 2θ 26.4, intensity 456; d = 3.345 Å, 2θ 26.7, intensity 257; d = 2.964 Å, 2θ 30.2, intensity 244; d = 2.835 Å, 2θ 31.6, intensity 1000; d = 2.654 Å, 2θ 33.8, intensity 351; d = 2.137 Å, 2θ 42.3, intensity 229

```
data_RbY
_chemical_formula_sum 'Rb4 Y4'
_cell_length_a 10.858
_cell_length_b 10.858
_cell_length_c 10.858
_cell_angle_alpha 91.80
_cell_angle_beta 91.80
_cell_angle_gamma 159.58
_symmetry_space_group_name_H-M 'P 1'
_symmetry_Int_Tables_number 1
loop_
_symmetry_equiv_pos_as_xyz
'x,y,z'
loop_
_atom_site_label
_atom_site_type_symbol
_atom_site_fract_x
_atom_site_fract_y
_atom_site_fract_z
Rb1 Rb 0.122 0.177 0.299
Rb2 Rb 0.177 0.878 0.055
Rb3 Rb 0.823 0.122 0.945
Rb4 Rb 0.878 0.823 0.701
Y1 Y 0.060 0.614 0.674
Y2 Y 0.386 0.060 0.446
Y3 Y 0.614 0.940 0.554
Y4 Y 0.940 0.386 0.326
```



Which formula does entry 6 have? RbY



Which formula does entry 3 have? Ho3Tm4Th



Copy entry 6 word for word.
Computed powder diffractogram of RbY for CuKα, from a structure optimized by DFT (GGA-PBE).
No peak broadening, texture or thermal motion is included.

The 10 most intense peaks (2θ from 15° to 90°), sorted by position:
d = 4.779 Å, 2θ 18.6, intensity 269; d = 3.778 Å, 2θ 23.5, intensity 423; d = 3.730 Å, 2θ 23.9, intensity 304; d = 3.562 Å, 2θ 25.0, intensity 242; d = 3.379 Å, 2θ 26.4, intensity 456; d = 3.345 Å, 2θ 26.7, intensity 257; d = 2.964 Å, 2θ 30.2, intensity 244; d = 2.835 Å, 2θ 31.6, intensity 1000; d = 2.654 Å, 2θ 33.8, intensity 351; d = 2.137 Å, 2θ 42.3, intensity 229

```
data_RbY
_chemical_formula_sum 'Rb4 Y4'
_cell_length_a 10.858
_cell_length_b 10.858
_cell_length_c 10.858
_cell_angle_alpha 91.80
_cell_angle_beta 91.80
_cell_angle_gamma 159.58
_symmetry_space_group_name_H-M 'P 1'
_symmetry_Int_Tables_number 1
loop_
_symmetry_equiv_pos_as_xyz
'x,y,z'
loop_
_atom_site_label
_atom_site_type_symbol
_atom_site_fract_x
_atom_site_fract_y
_atom_site_fract_z
Rb1 Rb 0.122 0.177 0.299
Rb2 Rb 0.177 0.878 0.055
Rb3 Rb 0.823 0.122 0.945
Rb4 Rb 0.878 0.823 0.701
Y1 Y 0.060 0.614 0.674
Y2 Y 0.386 0.060 0.446
Y3 Y 0.614 0.940 0.554
Y4 Y 0.940 0.386 0.326
```